The following is a computed powder diffractogram of Mg6HIr. It was derived from a GGA-PBE-relaxed structure, using Cu Kα (weighted mean of Kα1 and Kα2).

Peak list (10 most intense, 2θ = 10–90°, in order of rising 2θ)
2θ/deg  I (rel.)  index
15.80  93  0 0 1
18.68  100  1 0 0
18.91  49  1 -1 0
24.55  99  1 0 -1
24.73  47  1 -1 1
36.71  74  1 -2 1
37.22  58  0 1 2
37.88  41  2 0 0
41.28  64  0 2 1
41.72  33  2 -2 1

Cell and atoms:
```
data_Mg6HIr
_symmetry_space_group_name_H-M 'P 1'
_symmetry_Int_Tables_number 1
_symmetry_space_group_name_Hall 'P 1'
_cell_length_a 5.442
_cell_length_b 5.443
_cell_length_c 5.608
_cell_angle_alpha 90.08
_cell_angle_beta 90.12
_cell_angle_gamma 119.20
loop_
_atom_site_label
_atom_site_fract_x
_atom_site_fract_y
_atom_site_fract_z
Mg1 0.000 0.000 0.000
Mg2 0.002 0.486 0.268
Mg3 0.330 0.652 0.779
Mg4 0.485 0.002 0.269
Mg5 0.650 0.331 0.778
Mg6 0.934 0.935 0.503
H1 0.388 0.391 0.477
Ir1 0.510 0.511 0.204
```